[1]
The following is a theoretical powder diffractogram of Ce7Tl3Ge. It was derived from the GGA-PBE geometry in Alexandria, using Cu Ka.
Lines closer than 0.1° are merged.

Structure:
Cell: 7.854 7.854 5.686 Å, 107.83 107.83 89.24°
Element x y z (fractional)
Ce1 0.000 0.000 0.000
Ce2 0.065 0.578 0.354
Ce3 0.290 0.290 0.791
Ce4 0.422 0.935 0.646
Ce5 0.578 0.065 0.354
Ce6 0.710 0.710 0.209
Ce7 0.935 0.422 0.646
Tl1 0.281 0.719 0.000
Tl2 0.500 0.500 0.500
Tl3 0.719 0.281 0.000
Ge1 0.000 0.000 0.500

Main lines, low angle first (10 to 90 degrees two-theta):
| Position (°2θ) | I_rel |
| --- | --- |
| 23.97 | 33.6 |
| 25.93 | 25.8 |
| 31.59 | 99.0 |
| 32.46 | 83.8 |
| 33.32 | 32.4 |
| 33.93 | 100.0 |
| 34.79 | 27.2 |
| 36.10 | 90.8 |
| 45.93 | 60.3 |
| 56.32 | 30.6 |


[2]
The following is a theoretical powder diffractogram of PmPaIn. It was derived from the GGA-PBE geometry in Alexandria, using Cu Ka.
Lines closer than 0.1° are merged.

Structure:
Cell: 4.081 4.081 9.989 Å, 90.00 90.00 90.00°
Element x y z (fractional)
Pm1 0.000 0.000 0.000
Pm2 0.500 0.500 0.500
Pa1 0.000 0.000 0.684
Pa2 0.500 0.500 0.184
In1 0.000 0.000 0.342
In2 0.500 0.500 0.842

Main lines, low angle first (10 to 90 degrees two-theta):
| Position (°2θ) | I_rel |
| --- | --- |
| 23.55 | 13.1 |
| 30.99 | 69.1 |
| 34.77 | 100.0 |
| 44.40 | 25.9 |
| 55.17 | 6.3 |
| 57.60 | 47.2 |
| 64.62 | 24.2 |
| 73.39 | 22.6 |
| 75.50 | 10.7 |
| 89.99 | 6.8 |


[3]
The following is a theoretical powder diffractogram of CaTh2As3. It was derived from the GGA-PBE geometry in Alexandria, using Cu Ka.
Lines closer than 0.1° are merged.

Structure:
Cell: 4.270 6.011 12.755 Å, 90.00 90.00 90.00°
Element x y z (fractional)
Ca1 0.000 0.000 0.000
Ca2 0.500 0.500 0.500
Th1 0.000 0.000 0.334
Th2 0.000 0.000 0.666
Th3 0.500 0.500 0.166
Th4 0.500 0.500 0.834
As1 0.000 0.500 0.000
As2 0.000 0.500 0.331
As3 0.000 0.500 0.669
As4 0.500 0.000 0.169
As5 0.500 0.000 0.500
As6 0.500 0.000 0.831

Main lines, low angle first (10 to 90 degrees two-theta):
| Position (°2θ) | I_rel |
| --- | --- |
| 16.30 | 17.4 |
| 25.63 | 23.6 |
| 29.68 | 100.0 |
| 42.34 | 12.8 |
| 42.49 | 63.1 |
| 52.58 | 13.6 |
| 52.74 | 13.4 |
| 69.84 | 12.2 |
| 69.96 | 17.4 |
| 77.77 | 13.0 |


[4]
The following is a theoretical powder diffractogram of Li3Zn6Ni. It was derived from the GGA-PBE geometry in Alexandria, using Cu Ka.
Lines closer than 0.1° are merged.

Structure:
Cell: 6.755 6.755 6.755 Å, 101.10 101.10 101.10°
Element x y z (fractional)
Li1 0.075 0.333 0.333
Li2 0.333 0.075 0.333
Li3 0.333 0.333 0.075
Li4 0.667 0.667 0.925
Li5 0.667 0.925 0.667
Li6 0.925 0.667 0.667
Zn1 0.094 0.094 0.682
Zn2 0.094 0.682 0.094
Zn3 0.253 0.500 0.747
Zn4 0.253 0.747 0.500
Zn5 0.318 0.906 0.906
Zn6 0.500 0.253 0.747
Zn7 0.500 0.747 0.253
Zn8 0.682 0.094 0.094
Zn9 0.747 0.253 0.500
Zn10 0.747 0.500 0.253
Zn11 0.906 0.318 0.906
Zn12 0.906 0.906 0.318
Ni1 0.000 0.000 0.000
Ni2 0.500 0.500 0.500

Main lines, low angle first (10 to 90 degrees two-theta):
| Position (°2θ) | I_rel |
| --- | --- |
| 21.73 | 100.0 |
| 32.69 | 21.9 |
| 40.58 | 29.9 |
| 41.04 | 37.0 |
| 41.16 | 61.5 |
| 42.11 | 30.9 |
| 44.29 | 17.1 |
| 44.72 | 31.8 |
| 44.83 | 48.4 |
| 45.72 | 22.8 |


[5]
The following is a theoretical powder diffractogram of LiNb. It was derived from the GGA-PBE geometry in Alexandria, using Cu Ka.
Lines closer than 0.1° are merged.

Structure:
Cell: 5.056 14.528 2.631 Å, 90.00 90.00 90.00°
Element x y z (fractional)
Li1 0.250 0.114 0.081
Li2 0.250 0.250 0.617
Li3 0.250 0.386 0.081
Li4 0.750 0.614 0.919
Li5 0.750 0.750 0.383
Li6 0.750 0.886 0.919
Nb1 0.250 0.563 0.324
Nb2 0.250 0.750 0.837
Nb3 0.250 0.937 0.324
Nb4 0.750 0.063 0.676
Nb5 0.750 0.250 0.163
Nb6 0.750 0.437 0.676

Main lines, low angle first (10 to 90 degrees two-theta):
| Position (°2θ) | I_rel |
| --- | --- |
| 18.58 | 100.0 |
| 35.51 | 35.5 |
| 35.64 | 56.6 |
| 37.13 | 19.9 |
| 38.96 | 32.2 |
| 40.60 | 45.2 |
| 43.02 | 17.7 |
| 52.32 | 14.5 |
| 53.73 | 24.8 |
| 65.08 | 16.1 |


[6]
The following is a theoretical powder diffractogram of Ca2AlZn6Ga. It was derived from the GGA-PBE geometry in Alexandria, using Cu Ka.
Lines closer than 0.1° are merged.

Structure:
Cell: 12.071 12.071 12.071 Å, 31.06 31.06 31.06°
Element x y z (fractional)
Ca1 0.142 0.142 0.142
Ca2 0.310 0.310 0.310
Ca3 0.690 0.690 0.690
Ca4 0.858 0.858 0.858
Al1 0.000 0.000 0.000
Al2 0.500 0.500 0.500
Zn1 0.054 0.643 0.643
Zn2 0.189 0.189 0.805
Zn3 0.189 0.805 0.189
Zn4 0.195 0.811 0.811
Zn5 0.357 0.357 0.946
Zn6 0.357 0.946 0.357
Zn7 0.643 0.054 0.643
Zn8 0.643 0.643 0.054
Zn9 0.805 0.189 0.189
Zn10 0.811 0.195 0.811
Zn11 0.811 0.811 0.195
Zn12 0.946 0.357 0.357
Ga1 0.407 0.407 0.407
Ga2 0.593 0.593 0.593

Main lines, low angle first (10 to 90 degrees two-theta):
| Position (°2θ) | I_rel |
| --- | --- |
| 15.44 | 100.0 |
| 20.44 | 35.4 |
| 32.77 | 74.4 |
| 34.59 | 58.0 |
| 36.95 | 57.1 |
| 38.36 | 35.1 |
| 42.82 | 61.4 |
| 51.50 | 39.6 |
| 56.99 | 31.5 |
| 59.05 | 31.3 |


[7]
The following is a theoretical powder diffractogram of Cs2In7Au12. It was derived from the GGA-PBE geometry in Alexandria, using Cu Ka.
Lines closer than 0.1° are merged.

Structure:
Cell: 10.892 10.892 5.169 Å, 90.00 90.00 120.00°
Element x y z (fractional)
Cs1 0.333 0.667 0.269
Cs2 0.667 0.333 0.731
In1 0.000 0.000 0.500
In2 0.093 0.716 0.838
In3 0.284 0.378 0.838
In4 0.378 0.093 0.162
In5 0.622 0.907 0.838
In6 0.716 0.622 0.162
In7 0.907 0.284 0.162
Au1 0.062 0.450 0.703
Au2 0.131 0.849 0.332
Au3 0.151 0.282 0.332
Au4 0.282 0.131 0.668
Au5 0.388 0.938 0.703
Au6 0.450 0.388 0.297
Au7 0.550 0.612 0.703
Au8 0.612 0.062 0.297
Au9 0.718 0.869 0.332
Au10 0.849 0.718 0.668
Au11 0.869 0.151 0.668
Au12 0.938 0.550 0.297

Main lines, low angle first (10 to 90 degrees two-theta):
| Position (°2θ) | I_rel |
| --- | --- |
| 16.28 | 22.0 |
| 30.46 | 100.0 |
| 32.89 | 16.6 |
| 34.71 | 15.8 |
| 38.56 | 39.9 |
| 41.74 | 21.0 |
| 42.12 | 19.6 |
| 43.23 | 16.8 |
| 45.43 | 20.3 |
| 72.48 | 18.6 |


[8]
The following is a theoretical powder diffractogram of La2Ti2O7. It was derived from the GGA-PBE geometry in Alexandria, using Cu Ka.
Lines closer than 0.1° are merged.

Structure:
Cell: 7.414 7.414 7.414 Å, 60.00 60.00 60.00°
Element x y z (fractional)
La1 0.000 0.000 0.000
La2 0.000 0.000 0.500
La3 0.000 0.500 0.000
La4 0.500 0.000 0.000
Ti1 0.000 0.500 0.500
Ti2 0.500 0.000 0.500
Ti3 0.500 0.500 0.000
Ti4 0.500 0.500 0.500
O1 0.125 0.125 0.125
O2 0.177 0.177 0.573
O3 0.177 0.573 0.177
O4 0.177 0.573 0.573
O5 0.427 0.427 0.823
O6 0.427 0.823 0.427
O7 0.427 0.823 0.823
O8 0.573 0.177 0.177
O9 0.573 0.177 0.573
O10 0.573 0.573 0.177
O11 0.823 0.427 0.427
O12 0.823 0.427 0.823
O13 0.823 0.823 0.427
O14 0.875 0.875 0.875

Main lines, low angle first (10 to 90 degrees two-theta):
| Position (°2θ) | I_rel |
| --- | --- |
| 14.63 | 21.3 |
| 28.23 | 12.5 |
| 29.51 | 100.0 |
| 34.21 | 28.2 |
| 37.38 | 20.4 |
| 49.15 | 47.6 |
| 58.38 | 41.5 |
| 61.25 | 9.8 |
| 79.73 | 16.4 |
| 82.24 | 13.5 |